Computed powder X-ray diffraction pattern
Compound: CuTcBi
Radiation: copper Kα
Structure: a GGA-PBE-relaxed structure

Structural model:
Cell: 4.417 4.417 4.417 Å, 60.00 60.00 60.00°
Fractional positions:
Cu 0.000 0.000 0.000
Tc 0.750 0.750 0.750
Bi 0.500 0.500 0.500

Most intense lines, 15 to 90 degrees two-theta, by angle:
2theta, I_rel
24.69, 50.3
28.58, 27.7
40.86, 100.0
48.33, 25.9
59.17, 16.7
65.09, 11.1
74.41, 34.0
88.56, 11.3